Entry 1:
Calculated PXRD pattern of Zn12Pb2Au7 for Cu Ka, from a crystal structure in Alexandria, relaxed with PBE.

Crystal structure
Cell lengths 10.8932, 10.8932, 3.7757 Å; angles 90.00, 90.00, 120.00 degrees
Space group P-6 (No. 174)
One atom of each set of equivalent atoms:
Zn 0.0384 0.2862 0.0000 [3 per cell]
Zn 0.1378 0.7487 0.5000 [3 per cell]
Zn 0.3875 0.1703 0.5000 [3 per cell]
Zn 0.5252 0.4019 0.0000 [3 per cell]
Pb 0.0000 0.0000 0.5000 [1 per cell]
Pb 0.3333 0.6667 0.0000 [1 per cell]
Au 0.0570 0.4770 0.5000 [3 per cell]
Au 0.2414 0.2123 0.0000 [3 per cell]
Au 0.6667 0.3333 0.5000 [1 per cell]

Largest 6 diffraction maxima, by angle, 15° ≤ 2θ ≤ 90°:
2theta, I (rel.), hkl
24.97, 44.7, 2 1 0
30.32, 52.7, 2 0 1
34.60, 100.0, 2 1 1
40.86, 35.7, 2 2 1
42.01, 42.2, 3 1 1
43.98, 60.8, 1 4 0

---

Entry 2:
Calculated PXRD pattern of HS2Cl for Cu Ka, from a crystal structure in Alexandria, relaxed with PBE.

Crystal structure
Cell lengths 7.173, 10.994, 4.261 Å; angles 90.00, 90.00, 90.00 degrees
Space group C222_1 (No. 20)
One atom of each set of equivalent atoms:
H 0.180 0.000 0.000 [4 per cell]
S 0.136 0.089 0.703 [8 per cell]
Cl 0.000 0.329 0.250 [4 per cell]

Largest 6 diffraction maxima, by angle, 15° ≤ 2θ ≤ 90°:
2theta, I (rel.), hkl
26.47, 100.0, 0 2 1
32.59, 12.5, 0 4 0
34.62, 23.8, 1 3 1
38.53, 18.2, 3 1 0
42.43, 12.5, 0 0 2
44.21, 19.8, 3 1 1